This entry pairs a crystal structure of LiY4In5 with its calculated X-ray powder pattern. Radiation: Cu Ka. Structure: a PBE-relaxed structure.

Cell and atoms:
Cell lengths 3.5375, 3.5375, 20.1210 Å; angles 90.00, 90.00, 90.00 degrees
Atoms (fractional coordinates):
1 Li 0.0000 0.0000 0.0000
2 Y 0.0000 0.0000 0.1824
3 Y 0.0000 0.0000 0.3937
4 Y 0.0000 0.0000 0.6063
5 Y 0.0000 0.0000 0.8176
6 In 0.5000 0.5000 0.0779
7 In 0.5000 0.5000 0.2880
8 In 0.5000 0.5000 0.5000
9 In 0.5000 0.5000 0.7120
10 In 0.5000 0.5000 0.9221

Most intense lines, 2θ from 10° to 90°, by angle:
| 2theta | Rel. int. |
| --- | --- |
| 30.9 | 20.6 |
| 33.7 | 100.0 |
| 35.9 | 52.7 |
| 40.3 | 9.3 |
| 51.7 | 18.1 |
| 55.1 | 14.5 |
| 63.1 | 30.9 |
| 70.8 | 11.9 |